(1)
The following is a calculated X-ray powder pattern of Sr4LaTi5O15. It was derived from a cell relaxed with GGA-PBE, using λ = 1.5418 Å (Cu Kα).

Principal peaks in the range 10 to 80 degrees two-theta, sorted by position:
| Position (°2θ) | I/Imax |
| --- | --- |
| 10.98 | 12 |
| 13.46 | 8 |
| 16.81 | 10 |
| 22.53 | 70 |
| 32.07 | 1000 |
| 39.55 | 223 |
| 45.99 | 393 |
| 51.79 | 45 |
| 57.16 | 380 |
| 67.07 | 225 |
| 71.74 | 27 |
| 76.29 | 162 |

Crystal structure
```
Sr4LaTi5O15
1.0
8.371 -2.792 0.000
8.371 2.792 0.000
-1.858 0.000 6.579
Sr La Ti O
4 1 5 15
direct
0.100 0.100 0.400
0.300 0.300 0.200
0.700 0.700 0.800
0.900 0.900 0.600
0.500 0.500 0.000
0.101 0.101 0.901
0.300 0.300 0.698
0.500 0.500 0.500
0.700 0.700 0.302
0.899 0.899 0.099
0.000 0.000 0.000
0.000 0.500 0.500
0.108 0.600 0.900
0.201 0.201 0.805
0.204 0.698 0.295
0.302 0.796 0.705
0.400 0.892 0.100
0.401 0.401 0.603
0.500 0.000 0.500
0.599 0.599 0.397
0.600 0.108 0.900
0.698 0.204 0.295
0.796 0.302 0.705
0.799 0.799 0.195
0.892 0.400 0.100
```

(2)
The following is a calculated X-ray powder pattern of Ba2NpAgS6. It was derived from a cell relaxed with GGA-PBE, using λ = 1.5418 Å (Cu Kα).

Principal peaks in the range 10 to 80 degrees two-theta, sorted by position:
| Position (°2θ) | I/Imax |
| --- | --- |
| 17.42 | 114 |
| 19.49 | 153 |
| 24.73 | 1000 |
| 35.25 | 443 |
| 36.40 | 83 |
| 39.60 | 95 |
| 43.54 | 387 |
| 48.19 | 67 |
| 50.72 | 270 |
| 57.18 | 140 |
| 63.28 | 80 |
| 68.99 | 125 |

Crystal structure
```
Ba2NpAgS6
1.0
5.095 0.000 0.000
0.000 5.095 0.000
0.000 0.000 10.164
Ba Np Ag S
2 1 1 6
direct
0.000 0.000 0.209
0.000 0.000 0.791
0.500 0.500 0.500
0.500 0.500 0.000
0.000 0.500 0.000
0.000 0.500 0.500
0.500 0.000 0.000
0.500 0.000 0.500
0.500 0.500 0.258
0.500 0.500 0.742
```

(3)
The following is a calculated X-ray powder pattern of ThAl2Re. It was derived from a cell relaxed with GGA-PBE, using λ = 1.5418 Å (Cu Kα).

Principal peaks in the range 10 to 80 degrees two-theta, sorted by position:
| Position (°2θ) | I/Imax |
| --- | --- |
| 22.70 | 866 |
| 23.26 | 584 |
| 32.72 | 793 |
| 36.48 | 1000 |
| 37.82 | 536 |
| 43.73 | 258 |
| 46.35 | 185 |
| 49.52 | 398 |
| 49.82 | 223 |
| 50.57 | 189 |
| 52.48 | 166 |
| 59.17 | 300 |

Crystal structure
```
ThAl2Re
1.0
2.070 -4.993 0.000
2.070 4.993 0.000
0.000 0.000 7.836
Th Al Re
2 4 2
direct
0.065 0.935 0.750
0.935 0.065 0.250
0.344 0.656 0.550
0.344 0.656 0.950
0.656 0.344 0.050
0.656 0.344 0.450
0.212 0.788 0.250
0.788 0.212 0.750
```